(1)
Diffraction record for ZnH9C13NO5. The powder diffraction line list is simulated, not measured: it uses a PBE-relaxed structure and Cu Kα, 1.54184 Å.
Intensities are scaled so that the largest is 100.

Structure:
```
data_ZnH9C13NO5
_chemical_formula_sum 'Zn2 H18 C26 N2 O10'
_cell_length_a 7.593
_cell_length_b 8.093
_cell_length_c 9.712
_cell_angle_alpha 72.55
_cell_angle_beta 74.69
_cell_angle_gamma 73.06
_symmetry_space_group_name_H-M 'P 1'
_symmetry_Int_Tables_number 1
loop_
_symmetry_equiv_pos_as_xyz
'x,y,z'
loop_
_atom_site_label
_atom_site_fract_x
_atom_site_fract_y
_atom_site_fract_z
Zn1 0.006 0.125 0.105
Zn2 0.994 0.875 0.895
H1 0.138 0.497 0.872
H2 0.146 0.190 0.563
H3 0.148 0.040 0.377
H4 0.151 0.324 0.700
H5 0.326 0.755 0.360
H6 0.342 0.098 0.911
H7 0.346 0.157 0.048
H8 0.362 0.793 0.539
H9 0.372 0.411 0.087
H10 0.628 0.589 0.913
H11 0.638 0.207 0.461
H12 0.654 0.843 0.952
H13 0.658 0.902 0.089
H14 0.674 0.245 0.640
H15 0.849 0.676 0.300
H16 0.852 0.960 0.623
H17 0.854 0.810 0.437
H18 0.862 0.503 0.128
C1 0.000 0.450 0.448
C2 0.000 0.550 0.552
C3 0.075 0.561 0.775
C4 0.082 0.268 0.469
C5 0.082 0.465 0.676
C6 0.083 0.181 0.365
C7 0.210 0.743 0.132
C8 0.340 0.596 0.216
C9 0.381 0.623 0.339
C10 0.401 0.882 0.771
C11 0.406 0.431 0.182
C12 0.448 0.680 0.605
C13 0.483 0.485 0.433
C14 0.484 0.707 0.729
C15 0.516 0.293 0.271
C16 0.517 0.515 0.567
C17 0.552 0.320 0.395
C18 0.594 0.569 0.818
C19 0.599 0.118 0.229
C20 0.619 0.377 0.661
C21 0.660 0.404 0.784
C22 0.790 0.257 0.868
C23 0.917 0.819 0.635
C24 0.918 0.535 0.324
C25 0.918 0.732 0.531
C26 0.925 0.439 0.225
N1 0.008 0.265 0.245
N2 0.992 0.735 0.755
O1 0.145 0.883 0.180
O2 0.168 0.716 0.023
O3 0.242 0.971 0.740
O4 0.267 0.184 0.973
O5 0.492 0.932 0.838
O6 0.508 0.068 0.162
O7 0.733 0.816 0.027
O8 0.758 0.029 0.260
O9 0.832 0.284 0.977
O10 0.855 0.117 0.820
```

Top 10 peaks for 2θ = 10–90°, sorted by position:
| d_spacing | 2θ (°) | I (rel.) |
| --- | --- | --- |
| 7.126 | 12.4 | 49.7 |
| 5.893 | 15.0 | 30.9 |
| 5.206 | 17.0 | 98.1 |
| 5.145 | 17.2 | 15.5 |
| 3.812 | 23.3 | 13.3 |
| 3.563 | 25.0 | 25.7 |
| 3.315 | 26.9 | 15.8 |
| 3.010 | 29.7 | 100.0 |
| 2.458 | 36.6 | 18.8 |
| 2.054 | 44.1 | 12.8 |

(2)
Diffraction record for SmDy2In3Fe3. The powder diffraction line list is simulated, not measured: it uses a PBE-relaxed structure and Cu Kα, 1.54184 Å.
Intensities are scaled so that the largest is 100.

Structure:
```
data_SmDy2In3Fe3
_chemical_formula_sum 'Sm1 Dy2 In3 Fe3'
_cell_length_a 3.920
_cell_length_b 7.471
_cell_length_c 7.471
_cell_angle_alpha 119.66
_cell_angle_beta 90.00
_cell_angle_gamma 90.00
_symmetry_space_group_name_H-M 'P 1'
_symmetry_Int_Tables_number 1
loop_
_symmetry_equiv_pos_as_xyz
'x,y,z'
loop_
_atom_site_label
_atom_site_fract_x
_atom_site_fract_y
_atom_site_fract_z
Sm1 0.000 0.000 0.000
Dy1 0.000 0.177 0.583
Dy2 0.000 0.583 0.177
In1 0.500 0.333 0.333
In2 0.500 0.585 0.843
In3 0.500 0.843 0.585
Fe1 0.000 0.585 0.585
Fe2 0.500 0.253 0.916
Fe3 0.500 0.916 0.253
```

Top 10 peaks for 2θ = 10–90°, sorted by position:
| d_spacing | 2θ (°) | I (rel.) |
| --- | --- | --- |
| 2.706 | 33.1 | 100.0 |
| 2.500 | 35.9 | 47.4 |
| 2.492 | 36.0 | 20.7 |
| 2.457 | 36.6 | 17.4 |
| 2.446 | 36.7 | 33.0 |
| 2.164 | 41.7 | 13.9 |
| 1.960 | 46.3 | 19.9 |
| 1.531 | 60.5 | 15.0 |
| 1.388 | 67.5 | 15.6 |
| 1.233 | 77.4 | 8.4 |

(3)
Diffraction record for HoEr2Al. The powder diffraction line list is simulated, not measured: it uses a PBE-relaxed structure and Cu Kα, 1.54184 Å.
Intensities are scaled so that the largest is 100.

Structure:
```
data_HoEr2Al
_chemical_formula_sum 'Ho4 Er8 Al4'
_cell_length_a 6.758
_cell_length_b 11.753
_cell_length_c 5.270
_cell_angle_alpha 90.00
_cell_angle_beta 90.00
_cell_angle_gamma 90.00
_symmetry_space_group_name_H-M 'P 1'
_symmetry_Int_Tables_number 1
loop_
_symmetry_equiv_pos_as_xyz
'x,y,z'
loop_
_atom_site_label
_atom_site_fract_x
_atom_site_fract_y
_atom_site_fract_z
Ho1 0.000 0.175 0.250
Ho2 0.000 0.825 0.750
Ho3 0.500 0.325 0.750
Ho4 0.500 0.675 0.250
Er1 0.239 0.414 0.250
Er2 0.239 0.586 0.750
Er3 0.261 0.086 0.750
Er4 0.261 0.914 0.250
Er5 0.739 0.086 0.750
Er6 0.739 0.914 0.250
Er7 0.761 0.414 0.250
Er8 0.761 0.586 0.750
Al1 0.000 0.335 0.750
Al2 0.000 0.665 0.250
Al3 0.500 0.165 0.250
Al4 0.500 0.835 0.750
```

Top 10 peaks for 2θ = 10–90°, sorted by position:
| d_spacing | 2θ (°) | I (rel.) |
| --- | --- | --- |
| 3.920 | 22.7 | 27.1 |
| 3.386 | 26.3 | 9.3 |
| 2.932 | 30.5 | 24.1 |
| 2.635 | 34.0 | 24.4 |
| 2.562 | 35.0 | 100.0 |
| 1.960 | 46.3 | 16.1 |
| 1.695 | 54.1 | 13.7 |
| 1.507 | 61.5 | 19.7 |
| 1.425 | 65.5 | 14.0 |
| 1.411 | 66.2 | 10.3 |

(4)
Diffraction record for La2GdSi4Ni4. The powder diffraction line list is simulated, not measured: it uses a PBE-relaxed structure and Cu Kα, 1.54184 Å.
Intensities are scaled so that the largest is 100.

Structure:
```
data_La2GdSi4Ni4
_chemical_formula_sum 'La2 Gd1 Si4 Ni4'
_cell_length_a 12.235
_cell_length_b 12.235
_cell_length_c 12.235
_cell_angle_alpha 160.88
_cell_angle_beta 160.83
_cell_angle_gamma 27.20
_symmetry_space_group_name_H-M 'P 1'
_symmetry_Int_Tables_number 1
loop_
_symmetry_equiv_pos_as_xyz
'x,y,z'
loop_
_atom_site_label
_atom_site_fract_x
_atom_site_fract_y
_atom_site_fract_z
La1 0.148 0.148 0.000
La2 0.852 0.852 0.000
Gd1 0.500 0.000 0.500
Si1 0.050 0.550 0.500
Si2 0.300 0.300 0.000
Si3 0.700 0.700 0.000
Si4 0.950 0.450 0.500
Ni1 0.251 0.751 0.500
Ni2 0.402 0.402 0.000
Ni3 0.598 0.598 0.000
Ni4 0.749 0.249 0.500
```

Top 10 peaks for 2θ = 10–90°, sorted by position:
| d_spacing | 2θ (°) | I (rel.) |
| --- | --- | --- |
| 3.624 | 24.6 | 28.1 |
| 2.607 | 34.4 | 44.9 |
| 2.590 | 34.6 | 100.0 |
| 2.217 | 40.7 | 18.3 |
| 2.038 | 44.5 | 20.9 |
| 2.032 | 44.6 | 20.7 |
| 1.910 | 47.6 | 15.2 |
| 1.605 | 57.4 | 20.1 |
| 1.439 | 64.8 | 13.2 |
| 1.259 | 75.5 | 13.8 |

(5)
Diffraction record for HfZrP2S2. The powder diffraction line list is simulated, not measured: it uses a PBE-relaxed structure and Cu Kα, 1.54184 Å.
Intensities are scaled so that the largest is 100.

Structure:
```
data_HfZrP2S2
_chemical_formula_sum 'Hf2 Zr2 P4 S4'
_cell_length_a 3.542
_cell_length_b 4.907
_cell_length_c 12.335
_cell_angle_alpha 90.00
_cell_angle_beta 90.00
_cell_angle_gamma 90.00
_symmetry_space_group_name_H-M 'P 1'
_symmetry_Int_Tables_number 1
loop_
_symmetry_equiv_pos_as_xyz
'x,y,z'
loop_
_atom_site_label
_atom_site_fract_x
_atom_site_fract_y
_atom_site_fract_z
Hf1 0.000 0.000 0.000
Hf2 0.500 0.500 0.500
Zr1 0.000 0.000 0.267
Zr2 0.500 0.500 0.767
P1 0.000 0.228 0.633
P2 0.000 0.772 0.633
P3 0.500 0.272 0.133
P4 0.500 0.728 0.133
S1 0.000 0.500 0.347
S2 0.000 0.500 0.924
S3 0.500 0.000 0.424
S4 0.500 0.000 0.847
```

Top 10 peaks for 2θ = 10–90°, sorted by position:
| d_spacing | 2θ (°) | I (rel.) |
| --- | --- | --- |
| 4.559 | 19.5 | 97.4 |
| 3.404 | 26.2 | 36.9 |
| 3.151 | 28.3 | 50.3 |
| 2.872 | 31.1 | 49.5 |
| 2.684 | 33.4 | 100.0 |
| 2.453 | 36.6 | 27.6 |
| 2.102 | 43.0 | 78.4 |
| 1.990 | 45.6 | 52.6 |
| 1.920 | 47.4 | 28.4 |
| 1.811 | 50.4 | 25.5 |

(6)
Diffraction record for PrNi3BPd. The powder diffraction line list is simulated, not measured: it uses a PBE-relaxed structure and Cu Kα, 1.54184 Å.
Intensities are scaled so that the largest is 100.

Structure:
```
data_PrNi3BPd
_chemical_formula_sum 'Pr2 Ni6 B2 Pd2'
_cell_length_a 5.184
_cell_length_b 5.184
_cell_length_c 7.219
_cell_angle_alpha 90.00
_cell_angle_beta 90.00
_cell_angle_gamma 120.00
_symmetry_space_group_name_H-M 'P 1'
_symmetry_Int_Tables_number 1
loop_
_symmetry_equiv_pos_as_xyz
'x,y,z'
loop_
_atom_site_label
_atom_site_fract_x
_atom_site_fract_y
_atom_site_fract_z
Pr1 0.000 0.000 0.000
Pr2 0.000 0.000 0.500
Ni1 0.000 0.500 0.193
Ni2 0.000 0.500 0.807
Ni3 0.500 0.000 0.193
Ni4 0.500 0.000 0.807
Ni5 0.500 0.500 0.193
Ni6 0.500 0.500 0.807
B1 0.333 0.667 0.000
B2 0.667 0.333 0.000
Pd1 0.333 0.667 0.500
Pd2 0.667 0.333 0.500
```

Top 10 peaks for 2θ = 10–90°, sorted by position:
| d_spacing | 2θ (°) | I (rel.) |
| --- | --- | --- |
| 2.813 | 31.8 | 43.1 |
| 2.592 | 34.6 | 36.3 |
| 2.439 | 36.8 | 25.0 |
| 2.406 | 37.4 | 19.6 |
| 2.245 | 40.2 | 50.3 |
| 2.143 | 42.2 | 15.8 |
| 2.105 | 43.0 | 100.0 |
| 1.481 | 62.7 | 21.0 |
| 1.382 | 67.8 | 24.9 |
| 1.296 | 73.0 | 21.1 |

(7)
Diffraction record for ReSeBr3. The powder diffraction line list is simulated, not measured: it uses a PBE-relaxed structure and Cu Kα, 1.54184 Å.
Intensities are scaled so that the largest is 100.

Structure:
```
data_ReSeBr3
_chemical_formula_sum 'Re4 Se4 Br12'
_cell_length_a 6.547
_cell_length_b 6.862
_cell_length_c 12.579
_cell_angle_alpha 90.00
_cell_angle_beta 100.50
_cell_angle_gamma 90.00
_symmetry_space_group_name_H-M 'P 1'
_symmetry_Int_Tables_number 1
loop_
_symmetry_equiv_pos_as_xyz
'x,y,z'
loop_
_atom_site_label
_atom_site_fract_x
_atom_site_fract_y
_atom_site_fract_z
Re1 0.060 0.111 0.152
Re2 0.060 0.889 0.652
Re3 0.940 0.111 0.348
Re4 0.940 0.889 0.848
Se1 0.172 0.372 0.295
Se2 0.172 0.628 0.795
Se3 0.828 0.372 0.205
Se4 0.828 0.628 0.705
Br1 0.142 0.193 0.543
Br2 0.142 0.807 0.043
Br3 0.254 0.088 0.808
Br4 0.254 0.912 0.308
Br5 0.357 0.283 0.078
Br6 0.357 0.717 0.578
Br7 0.643 0.283 0.422
Br8 0.643 0.717 0.922
Br9 0.746 0.088 0.692
Br10 0.746 0.912 0.192
Br11 0.858 0.193 0.957
Br12 0.858 0.807 0.457
```

Top 10 peaks for 2θ = 10–90°, sorted by position:
| d_spacing | 2θ (°) | I (rel.) |
| --- | --- | --- |
| 6.862 | 12.9 | 74.9 |
| 6.437 | 13.8 | 100.0 |
| 6.000 | 14.8 | 67.1 |
| 4.695 | 18.9 | 39.5 |
| 3.003 | 29.7 | 26.7 |
| 2.947 | 30.3 | 24.8 |
| 2.820 | 31.7 | 25.3 |
| 2.547 | 35.2 | 37.7 |
| 2.252 | 40.0 | 31.6 |
| 2.002 | 45.3 | 29.6 |

(8)
Diffraction record for SmYBr2NCl. The powder diffraction line list is simulated, not measured: it uses a PBE-relaxed structure and Cu Kα, 1.54184 Å.
Intensities are scaled so that the largest is 100.

Structure:
```
data_SmYBr2NCl
_chemical_formula_sum 'Sm2 Y2 Br4 N2 Cl2'
_cell_length_a 8.893
_cell_length_b 8.893
_cell_length_c 11.183
_cell_angle_alpha 120.94
_cell_angle_beta 120.94
_cell_angle_gamma 25.51
_symmetry_space_group_name_H-M 'P 1'
_symmetry_Int_Tables_number 1
loop_
_symmetry_equiv_pos_as_xyz
'x,y,z'
loop_
_atom_site_label
_atom_site_fract_x
_atom_site_fract_y
_atom_site_fract_z
Sm1 0.134 0.134 0.287
Sm2 0.866 0.866 0.713
Y1 0.420 0.420 0.042
Y2 0.580 0.580 0.958
Br1 0.050 0.050 0.746
Br2 0.336 0.336 0.480
Br3 0.664 0.664 0.520
Br4 0.950 0.950 0.254
N1 0.428 0.428 0.847
N2 0.572 0.572 0.153
Cl1 0.208 0.208 0.107
Cl2 0.792 0.792 0.893
```

Top 10 peaks for 2θ = 10–90°, sorted by position:
| d_spacing | 2θ (°) | I (rel.) |
| --- | --- | --- |
| 8.325 | 10.6 | 100.0 |
| 3.685 | 24.2 | 22.4 |
| 3.370 | 26.4 | 32.8 |
| 3.183 | 28.0 | 71.1 |
| 2.786 | 32.1 | 39.2 |
| 2.770 | 32.3 | 30.3 |
| 2.757 | 32.5 | 41.6 |
| 2.091 | 43.3 | 35.2 |
| 2.076 | 43.6 | 25.3 |
| 1.963 | 46.2 | 22.0 |